Diffraction record for KPr3Dy2Te6. The XRD peak list is calculated, not measured: it uses the GGA-PBE geometry in Alexandria and Cu Kα X-rays.
No peak broadening, texture or thermal motion is included.

Crystal structure
```
data_KPr3Dy2Te6
_cell_length_a 19.729
_cell_length_b 4.467
_cell_length_c 9.143
_cell_angle_alpha 90.00
_cell_angle_beta 103.63
_cell_angle_gamma 90.00
_space_group_name_H-M_alt 'C 1 2/m 1'
_space_group_IT_number 12
_space_group_name_Hall '-C 2y'
loop_
_atom_site_label
_atom_site_type_symbol
_atom_site_fract_x
_atom_site_fract_y
_atom_site_fract_z
_atom_site_occupancy
K1 K 0.000 0.000 0.000 1
Pr1 Pr 0.000 0.000 0.500 1
Pr2 Pr 0.158 0.500 0.818 1
Dy1 Dy 0.166 0.500 0.340 1
Te1 Te 0.008 0.500 0.259 1
Te2 Te 0.170 0.000 0.575 1
Te3 Te 0.174 0.000 0.095 1
```

Principal peaks in the range 2θ = 10–90°, by intensity:
index  d_spacing  Rel. int.
1 1 -2  3.195  100.0
7 1 -2  2.263  25.3
5 1 2  2.256  23.8
2 0 -4  2.286  13.2
6 2 0  1.831  13.0
0 2 0  2.234  12.6
2 2 -4  1.598  12.1
8 2 -4  1.431  11.0
4 2 4  1.427  9.8
7 3 -2  1.295  8.2